Record 1
For Cu4Ni3, a crystal structure in Alexandria, relaxed with PBE gives the calculated powder diffractogram in this record (Cu Kα X-rays).

Atomic structure:
a b c (Å): 2.469 2.469 27.827
angles (deg): 90.00 90.00 90.00
Space group I4/mmm (No. 139)
Unique sites:
Cu1 0.000 0.000 0.066 (multiplicity 4)
Cu2 0.000 0.000 0.366 (multiplicity 4)
Ni1 0.000 0.000 0.280 (multiplicity 4)
Ni2 0.000 0.000 0.500 (multiplicity 2)

Largest 12 diffraction maxima, in order of rising 2θ, 15 to 90 degrees two-theta:
hkl  2θ (°)  I (rel.)
0 0 6  19.1  6
1 0 1  36.5  5
1 0 3  37.7  43
1 0 5  39.9  39
1 0 7  43.1  43
0 0 14  45.6  36
1 0 9  47.1  100
1 0 11  51.7  16
1 1 0  52.4  65
1 1 14  72.0  33
2 0 0  77.3  19
2 1 3  89.4  6

Record 2
For Na2HgTe, a crystal structure in Alexandria, relaxed with PBE gives the calculated powder diffractogram in this record (Cu Kα X-rays).

Atomic structure:
a b c (Å): 7.657 7.657 7.657
angles (deg): 90.00 90.00 90.00
Space group Fm-3m (No. 225)
Unique sites:
Na1 0.250 0.250 0.250 (multiplicity 8)
Hg1 0.000 0.000 0.000 (multiplicity 4)
Te1 0.000 0.000 0.500 (multiplicity 4)

Largest 12 diffraction maxima, in order of rising 2θ, 15 to 90 degrees two-theta:
hkl  2θ (°)  I (rel.)
1 1 1  20.1  9
2 0 0  23.2  65
2 2 0  33.1  100
3 1 1  39.0  6
2 2 2  40.8  21
4 0 0  47.5  18
4 2 0  53.5  29
4 2 2  59.1  38
4 4 0  69.4  12
6 0 0  74.3  14
6 2 0  79.1  16
6 2 2  83.8  8

Record 3
For YMnTlCl6, a crystal structure in Alexandria, relaxed with PBE gives the calculated powder diffractogram in this record (Cu Kα X-rays).

Atomic structure:
a b c (Å): 6.4825 6.4825 14.5938
angles (deg): 90.00 90.00 120.00
Space group P-31c (No. 163)
Unique sites:
Y1 0.3333 0.6667 0.2500 (multiplicity 2)
Mn1 0.3333 0.6667 0.7500 (multiplicity 2)
Tl1 0.0000 0.0000 0.0000 (multiplicity 2)
Cl1 0.0333 0.3811 0.6521 (multiplicity 12)

Largest 12 diffraction maxima, in order of rising 2θ, 15 to 90 degrees two-theta:
hkl  2θ (°)  I (rel.)
1 0 2  20.0  100
1 1 0  27.5  17
2 -1 2  30.2  16
2 0 2  34.2  22
1 1 4  37.1  50
1 0 6  40.4  13
2 1 2  44.5  24
3 0 0  48.7  15
2 0 6  49.6  11
3 -1 6  57.6  12
4 -1 2  60.8  11
4 -2 4  62.7  12

Copy entry 1 word for word.
For Cu4Ni3, a crystal structure in Alexandria, relaxed with PBE gives the calculated powder diffractogram in this record (Cu Kα X-rays).

Atomic structure:
a b c (Å): 2.469 2.469 27.827
angles (deg): 90.00 90.00 90.00
Space group I4/mmm (No. 139)
Unique sites:
Cu1 0.000 0.000 0.066 (multiplicity 4)
Cu2 0.000 0.000 0.366 (multiplicity 4)
Ni1 0.000 0.000 0.280 (multiplicity 4)
Ni2 0.000 0.000 0.500 (multiplicity 2)

Largest 12 diffraction maxima, in order of rising 2θ, 15 to 90 degrees two-theta:
hkl  2θ (°)  I (rel.)
0 0 6  19.1  6
1 0 1  36.5  5
1 0 3  37.7  43
1 0 5  39.9  39
1 0 7  43.1  43
0 0 14  45.6  36
1 0 9  47.1  100
1 0 11  51.7  16
1 1 0  52.4  65
1 1 14  72.0  33
2 0 0  77.3  19
2 1 3  89.4  6

Question: Number 2 is which compound?
Answer: Na2HgTe